Structure and calculated PXRD pattern of Ta2FeN6F12 (a structure optimized by DFT (PBE+U); Cu Ka).

The 10 most intense peaks (2θ = 5–70°), in order of rising 2θ:
Position (°2θ)	d_spacing	I (rel.)
11.85	7.471	13
13.69	6.470	78
19.40	4.575	100
23.82	3.735	12
27.57	3.235	31
30.90	2.894	25
33.94	2.641	16
44.27	2.046	36
52.95	1.729	20
60.73	1.525	16

```
Ta2FeN6F12
1.0
0.0000 6.4701 6.4701
6.4701 0.0000 6.4701
6.4701 6.4701 0.0000
Ta Fe N F
2 1 6 12
direct
0.2500 0.2500 0.2500 Ta
0.7500 0.7500 0.7500 Ta
0.0000 0.0000 0.0000 Fe
0.1548 0.1548 0.8452 N
0.1548 0.8452 0.1548 N
0.1548 0.8452 0.8452 N
0.8452 0.1548 0.1548 N
0.8452 0.1548 0.8452 N
0.8452 0.8452 0.1548 N
0.1013 0.1013 0.3987 F
0.1013 0.3987 0.1013 F
0.1013 0.3987 0.3987 F
0.3987 0.1013 0.1013 F
0.3987 0.1013 0.3987 F
0.3987 0.3987 0.1013 F
0.6013 0.6013 0.8987 F
0.6013 0.8987 0.6013 F
0.6013 0.8987 0.8987 F
0.8987 0.6013 0.6013 F
0.8987 0.6013 0.8987 F
0.8987 0.8987 0.6013 F
```